This entry pairs a crystal structure of La5Pb3S with its computed X-ray diffraction stick pattern. Radiation: CuKα. Structure: a DFT-relaxed cell (PBE, the Materials Project).

Largest 10 diffraction maxima, low angle first, 5 to 70 degrees two-theta:
d/Å	2theta	I (rel.)	(hkl)
3.574	24.92	23.5	0 0 2
3.171	28.14	17.6	2 1 0
2.898	30.85	100.0	2 1 1
2.876	31.10	76.7	1 1 2
2.796	32.01	39.5	3 0 0
2.212	40.79	24.0	3 1 1
2.005	45.23	13.7	2 2 2
1.905	47.75	30.2	2 1 3
1.519	61.01	21.1	5 0 2
1.506	61.59	14.3	3 0 4

Structure:
```
data_La5Pb3S
_chemical_formula_sum 'La10 Pb6 S2'
_cell_length_a 9.6867
_cell_length_b 9.6867
_cell_length_c 7.1475
_cell_angle_alpha 90.00
_cell_angle_beta 90.00
_cell_angle_gamma 120.00
_symmetry_space_group_name_H-M 'P 63/m c m'
_symmetry_Int_Tables_number 193
_symmetry_space_group_name_Hall '-P 6c 2'
loop_
_atom_site_label
_atom_site_fract_x
_atom_site_fract_y
_atom_site_fract_z
La1 0.0000 0.2399 0.2500
La2 0.3333 0.6667 0.0000
Pb1 0.0000 0.3988 0.7500
S1 0.0000 0.0000 0.0000
```

***

This entry pairs a crystal structure of Dy5Ge10Rh4 with its computed X-ray diffraction stick pattern. Radiation: CuKα. Structure: a DFT-relaxed cell (PBE, the Materials Project).

Largest 10 diffraction maxima, low angle first, 5 to 70 degrees two-theta:
d/Å	2theta	I (rel.)	(hkl)
2.778	32.22	48.0	3 2 1
2.607	34.39	69.7	4 0 1
2.568	34.94	33.9	5 1 0
2.557	35.09	44.8	4 1 1
2.510	35.78	100.0	3 3 1
2.422	37.11	23.0	4 2 1
2.155	41.91	79.3	0 0 2
2.045	44.30	19.9	5 4 0
1.660	55.35	18.5	7 2 1
1.386	67.58	17.7	8 4 1

Structure:
```
data_Dy5Ge10Rh4
_chemical_formula_sum 'Dy10 Ge20 Rh8'
_cell_length_a 13.0925
_cell_length_b 13.0925
_cell_length_c 4.3134
_cell_angle_alpha 90.00
_cell_angle_beta 90.00
_cell_angle_gamma 90.00
_symmetry_space_group_name_H-M 'P 4/m b m'
_symmetry_Int_Tables_number 127
_symmetry_space_group_name_Hall '-P 4 2ab'
loop_
_atom_site_label
_atom_site_fract_x
_atom_site_fract_y
_atom_site_fract_z
Dy1 0.0000 0.0000 0.0000
Dy2 0.1133 0.3867 0.5000
Dy3 0.1757 0.6757 0.5000
Ge1 0.0030 0.8408 0.5000
Ge2 0.0663 0.5663 0.0000
Ge3 0.1612 0.2000 0.0000
Rh1 0.0220 0.7541 0.0000
```